# 1
# Ta3Os2
Computed XRD peak list, copper Kα. Input: a structure optimized by DFT (PBE).

Most intense lines, 2θ from 15° to 90°, sorted by position:
2θ 35.31, rel. 20
2θ 37.41, rel. 81
2θ 38.54, rel. 36
2θ 39.86, rel. 31
2θ 40.93, rel. 66
2θ 41.56, rel. 100
2θ 42.59, rel. 50
2θ 66.14, rel. 20
2θ 67.65, rel. 35
2θ 68.40, rel. 20
2θ 68.99, rel. 18
2θ 86.66, rel. 16

Cell and atoms:
a = 14.0118 Å, b = 14.0190 Å, c = 5.0832 Å
α = 90.00°, β = 90.00°, γ = 90.00°
Space group Cmm2 (No. 35)
Symmetry-distinct sites (fractional):
1 Ta 0.0000 0.1026 0.0000 [4 per cell]
2 Ta 0.0000 0.3188 0.2459 [4 per cell]
3 Ta 0.1012 0.5000 0.4904 [4 per cell]
4 Ta 0.1664 0.2041 0.9973 [8 per cell]
5 Ta 0.1814 0.0000 0.2464 [4 per cell]
6 Ta 0.1816 0.0000 0.7468 [4 per cell]
7 Ta 0.2022 0.3324 0.4983 [8 per cell]
8 Os 0.0000 0.0000 0.4985 [2 per cell]
9 Os 0.0000 0.3188 0.7445 [4 per cell]
10 Os 0.0000 0.5000 0.9757 [2 per cell]
11 Os 0.0949 0.1642 0.4983 [8 per cell]
12 Os 0.1614 0.4040 0.9956 [8 per cell]

=====

# 2
# Ta3Os8
Computed XRD peak list, copper Kα. Input: a structure optimized by DFT (PBE).

Most intense lines, 2θ from 15° to 90°, sorted by position:
2θ 29.80, rel. 17
2θ 38.85, rel. 100
2θ 39.75, rel. 55
2θ 40.28, rel. 87
2θ 41.11, rel. 57
2θ 43.78, rel. 86
2θ 44.19, rel. 17
2θ 46.79, rel. 39
2θ 48.89, rel. 28
2θ 66.04, rel. 13
2θ 68.80, rel. 14
2θ 71.16, rel. 17

Cell and atoms:
a = 4.7250 Å, b = 6.1707 Å, c = 6.3938 Å
α = 85.45°, β = 76.70°, γ = 82.93°
Space group P-1 (No. 2)
Symmetry-distinct sites (fractional):
1 Ta 0.0000 0.0000 0.0000 [1 per cell]
2 Ta 0.0000 0.5000 0.0000 [1 per cell]
3 Ta 0.5000 0.0000 0.5000 [1 per cell]
4 Os 0.0199 0.1665 0.3589 [2 per cell]
5 Os 0.2339 0.4342 0.5818 [2 per cell]
6 Os 0.3114 0.7323 0.2522 [2 per cell]
7 Os 0.4695 0.6942 0.8302 [2 per cell]